This entry pairs a crystal structure of Ba3Ga3N5 with its theoretical powder XRD pattern. Radiation: a wavelength of 1.5418 Å. Structure: a cell relaxed with PBE.
Lines closer than 0.1° are merged.

Structure:
```
data_Ba3Ga3N5
_chemical_formula_sum 'Ba24 Ga24 N40'
_cell_length_a 17.004
_cell_length_b 8.416
_cell_length_c 11.791
_cell_angle_alpha 90.00
_cell_angle_beta 109.71
_cell_angle_gamma 90.00
_symmetry_space_group_name_H-M 'C 1 2/c 1'
_symmetry_Int_Tables_number 15
loop_
_symmetry_equiv_pos_as_xyz
'x,y,z'
'-x,-y,-z'
'-x,y,-z+1/2'
'x,-y,z+1/2'
'x+1/2,y+1/2,z'
'-x+1/2,-y+1/2,-z'
'-x+1/2,y+1/2,-z+1/2'
'x+1/2,-y+1/2,z+1/2'
loop_
_atom_site_label
_atom_site_type_symbol
_atom_site_fract_x
_atom_site_fract_y
_atom_site_fract_z
_atom_site_occupancy
Ba1 Ba 0.000 0.154 0.250 1
Ba2 Ba 0.000 0.339 0.750 1
Ba3 Ba 0.189 0.409 0.385 1
Ba4 Ba 0.206 0.126 0.838 1
Ga1 Ga 0.079 0.068 0.998 1
Ga2 Ga 0.079 0.435 0.057 1
Ga3 Ga 0.098 0.245 0.550 1
N1 N 0.030 0.398 0.421 1
N2 N 0.045 0.073 0.618 1
N3 N 0.137 0.269 0.002 1
N4 N 0.152 0.103 0.461 1
N5 N 0.156 0.409 0.674 1
```

The 6 most intense peaks (2θ from 10° to 80°), sorted by position:
Position (°2θ), d (Å), intensity, h k l
26.4, 3.375, 100, 2 2 1
30.3, 2.948, 61, 2 0 -4
31.7, 2.826, 87, 4 0 2
31.9, 2.801, 76, 6 0 -2
32.2, 2.779, 46, 0 2 3
34.3, 2.614, 54, 4 2 -3